(1)
For GaSb3Pb4O13, a cell relaxed with PBE gives the simulated X-ray powder pattern in this record (Cu Kα (weighted mean of Kα1 and Kα2)).
Kinematic intensities with the Lorentz-polarization factor, no thermal factor.

Principal peaks in the range 10 to 90 degrees two-theta, by angle:
2θ = 29.1°, rel. 100, (2 0 2)
2θ = 29.4°, rel. 32, (0 0 6)
2θ = 33.8°, rel. 51, (0 2 4)
2θ = 48.3°, rel. 29, (2 2 0)
2θ = 48.8°, rel. 28, (2 0 8)
2θ = 57.4°, rel. 15, (0 4 2)
2θ = 57.6°, rel. 30, (2 2 6)
2θ = 58.0°, rel. 15, (0 2 10)
2θ = 60.2°, rel. 12, (4 0 4)
2θ = 78.2°, rel. 13, (4 2 2)

Structure:
```
data_GaSb3Pb4O13
_chemical_formula_sum 'Ga3 Sb9 Pb12 O39'
_space_group_name_H-M_alt 'R 3 m'
_space_group_IT_number 160
_space_group_name_Hall 'R 3 -2"'
_cell_length_a 7.5381
_cell_length_b 7.5381
_cell_length_c 18.2169
_cell_angle_alpha 90.00
_cell_angle_beta 90.00
_cell_angle_gamma 120.00
loop_
_atom_site_label
_atom_site_fract_x
_atom_site_fract_y
_atom_site_fract_z
_atom_site_occupancy
Ga1 0.0000 0.0000 0.0000 1
Sb1 0.0008 0.5004 0.5007 1
Pb1 0.0000 0.0000 0.4990 1
Pb2 0.0046 0.5023 0.0012 1
O1 0.0000 0.0000 0.6249 1
O2 0.0683 0.5341 0.8580 1
O3 0.0705 0.5353 0.6065 1
O4 0.2004 0.4007 0.7274 1
O5 0.2022 0.4044 0.4772 1
```


(2)
For Pr4Ga2O9, a cell relaxed with PBE gives the simulated X-ray powder pattern in this record (Cu Kα (weighted mean of Kα1 and Kα2)).
Kinematic intensities with the Lorentz-polarization factor, no thermal factor.

Principal peaks in the range 10 to 90 degrees two-theta, by angle:
2θ = 25.5°, rel. 16, (0 1 3)
2θ = 27.6°, rel. 100, (2 2 -1)
2θ = 28.9°, rel. 33, (0 3 2)
2θ = 29.0°, rel. 66, (0 2 3)
2θ = 33.1°, rel. 23, (2 0 2)
2θ = 33.4°, rel. 16, (2 0 -4)
2θ = 45.9°, rel. 18, (4 0 -2)
2θ = 46.7°, rel. 15, (2 4 2)
2θ = 47.0°, rel. 14, (2 4 -4)
2θ = 55.0°, rel. 13, (4 2 1)

Structure:
```
data_Pr4Ga2O9
_chemical_formula_sum 'Pr16 Ga8 O36'
_space_group_name_H-M_alt 'P 1 21/c 1'
_space_group_IT_number 14
_space_group_name_Hall '-P 2ybc'
_cell_length_a 7.908
_cell_length_b 11.164
_cell_length_c 11.697
_cell_angle_alpha 90.00
_cell_angle_beta 109.16
_cell_angle_gamma 90.00
loop_
_atom_site_label
_atom_site_fract_x
_atom_site_fract_y
_atom_site_fract_z
_atom_site_occupancy
Pr1 0.021 0.104 0.282 1
Pr2 0.166 0.622 0.572 1
Pr3 0.335 0.122 0.912 1
Pr4 0.476 0.589 0.194 1
Ga1 0.154 0.185 0.615 1
Ga2 0.282 0.688 0.873 1
O1 0.068 0.750 0.388 1
O2 0.069 0.011 0.898 1
O3 0.140 0.226 0.460 1
O4 0.204 0.031 0.678 1
O5 0.266 0.725 0.233 1
O6 0.279 0.530 0.828 1
O7 0.284 0.224 0.248 1
O8 0.423 0.004 0.105 1
O9 0.428 0.732 0.024 1
```


(3)
For Sr2PrGaO5, a cell relaxed with PBE gives the simulated X-ray powder pattern in this record (Cu Kα (weighted mean of Kα1 and Kα2)).
Kinematic intensities with the Lorentz-polarization factor, no thermal factor.

Principal peaks in the range 10 to 90 degrees two-theta, by angle:
2θ = 30.2°, rel. 45, (1 3 1)
2θ = 30.4°, rel. 100, (2 2 2)
2θ = 31.4°, rel. 35, (0 0 4)
2θ = 37.1°, rel. 16, (4 0 0)
2θ = 37.7°, rel. 62, (1 3 3)
2θ = 49.4°, rel. 22, (4 0 4)
2θ = 49.8°, rel. 19, (1 3 5)
2θ = 55.3°, rel. 20, (2 2 6)
2θ = 55.9°, rel. 16, (5 3 1)
2θ = 60.8°, rel. 16, (3 5 3)

Structure:
```
data_Sr2PrGaO5
_chemical_formula_sum 'Sr16 Pr8 Ga8 O40'
_space_group_name_H-M_alt 'F m m m'
_space_group_IT_number 69
_space_group_name_Hall '-F 2 2'
_cell_length_a 9.682
_cell_length_b 9.714
_cell_length_c 11.402
_cell_angle_alpha 90.00
_cell_angle_beta 90.00
_cell_angle_gamma 90.00
loop_
_atom_site_label
_atom_site_fract_x
_atom_site_fract_y
_atom_site_fract_z
_atom_site_occupancy
Sr1 0.174 0.000 0.000 1
Sr2 0.250 0.250 0.250 1
Pr1 0.000 0.179 0.500 1
Ga1 0.000 0.000 0.248 1
O1 0.000 0.149 0.145 1
O2 0.141 0.000 0.358 1
O3 0.250 0.250 0.000 1
```